Diffraction record for NdDy4Ho2Th. The powder diffraction line list is theoretical, not measured: it uses DFT lattice parameters and positions (PBE) and CuKα.
No peak broadening, texture or thermal motion is included.

Atomic structure:
```
NdDy4Ho2Th
1.0
5.041 0.000 0.000
0.000 5.055 0.000
0.000 0.000 10.037
Nd Dy Ho Th
1 4 2 1
Direct
0.000 0.000 0.000
0.000 0.500 0.254
0.000 0.500 0.746
0.500 0.000 0.254
0.500 0.000 0.746
0.000 0.000 0.500
0.500 0.500 0.000
0.500 0.500 0.500
```

Top 12 peaks for 10 to 90 degrees two-theta, low angle first:
30.74 deg, d 2.909, rel. 100; 35.52 deg, d 2.527, rel. 17; 35.62 deg, d 2.520, rel. 17; 35.79 deg, d 2.509, rel. 17; 51.19 deg, d 1.785, rel. 12; 51.35 deg, d 1.779, rel. 24; 60.84 deg, d 1.523, rel. 15; 60.97 deg, d 1.520, rel. 14; 61.19 deg, d 1.515, rel. 14; 64.02 deg, d 1.454, rel. 12; 83.51 deg, d 1.158, rel. 6; 83.70 deg, d 1.155, rel. 6

***

Diffraction record for La2ThAs3. The powder diffraction line list is theoretical, not measured: it uses DFT lattice parameters and positions (PBE) and CuKα.
No peak broadening, texture or thermal motion is included.

Atomic structure:
```
La2ThAs3
1.0
0.000 6.122 12.997
4.328 0.000 12.997
4.328 6.122 0.000
La Th As
8 4 12
Direct
0.042 0.042 0.208
0.124 0.124 0.626
0.208 0.208 0.042
0.374 0.374 0.876
0.626 0.626 0.124
0.792 0.792 0.958
0.876 0.876 0.374
0.958 0.958 0.792
0.292 0.292 0.458
0.458 0.458 0.292
0.542 0.542 0.708
0.708 0.708 0.542
0.040 0.540 0.217
0.133 0.617 0.617
0.217 0.702 0.040
0.298 0.783 0.460
0.383 0.867 0.867
0.460 0.960 0.298
0.540 0.040 0.702
0.617 0.133 0.133
0.702 0.217 0.540
0.783 0.298 0.960
0.867 0.383 0.383
0.960 0.460 0.783
```

Top 12 peaks for 10 to 90 degrees two-theta, low angle first:
12.98 deg, d 6.821, rel. 5; 21.21 deg, d 4.188, rel. 2; 25.19 deg, d 3.535, rel. 25; 29.17 deg, d 3.062, rel. 100; 41.72 deg, d 2.165, rel. 76; 49.36 deg, d 1.846, rel. 13; 51.71 deg, d 1.768, rel. 27; 60.48 deg, d 1.531, rel. 13; 66.57 deg, d 1.405, rel. 5; 68.53 deg, d 1.369, rel. 35; 76.16 deg, d 1.250, rel. 26; 81.72 deg, d 1.178, rel. 4